# 1
HfMg6C: calculated X-ray diffraction stick pattern (a wavelength of 1.5418 Å), based on a cell relaxed with GGA-PBE.
Kinematic intensities with the Lorentz-polarization factor, no thermal factor.

Most intense lines, 5° ≤ 2θ ≤ 70°, most intense first:
| d/Å | I_rel |
| --- | --- |
| 6.228 | 100.0 |
| 2.555 | 98.5 |
| 3.632 | 46.5 |
| 5.046 | 40.6 |
| 2.545 | 32.2 |
| 4.471 | 24.5 |
| 3.096 | 21.7 |
| 3.114 | 21.6 |
| 2.963 | 20.4 |
| 2.523 | 20.3 |

```
HfMg6C
1.0
4.4708 0.0000 0.0000
0.0000 3.9579 5.0456
0.0000 -3.9579 5.0456
Hf Mg C
1 6 1
Direct
0.0000 0.0000 0.0000
0.0000 0.0792 0.4672
0.0000 0.4672 0.0792
0.0000 0.5660 0.5660
0.5000 0.2876 0.7468
0.5000 0.7468 0.2876
0.5000 0.7724 0.7724
0.5000 0.9845 0.9845
```


# 2
ErIn2Pd: calculated X-ray diffraction stick pattern (a wavelength of 1.5418 Å), based on a cell relaxed with GGA-PBE.
Kinematic intensities with the Lorentz-polarization factor, no thermal factor.

Most intense lines, 5° ≤ 2θ ≤ 70°, most intense first:
| d/Å | I_rel |
| --- | --- |
| 2.658 | 100.0 |
| 2.765 | 33.3 |
| 2.394 | 29.5 |
| 2.311 | 26.5 |
| 2.551 | 21.8 |
| 2.234 | 17.2 |
| 2.263 | 16.3 |
| 2.569 | 14.5 |
| 2.451 | 13.4 |
| 1.426 | 13.1 |

```
ErIn2Pd
1.0
-6.9317 6.9317 4.5878
6.9317 -6.9317 4.5878
6.9317 6.9317 -4.5878
Er In Pd
10 20 10
Direct
0.0000 0.0000 0.0000
0.0839 0.0839 0.4026
0.0839 0.6813 0.0000
0.1133 0.3940 0.7193
0.3940 0.1133 0.7193
0.3940 0.6748 0.2807
0.4633 0.4633 0.0000
0.6748 0.3940 0.2807
0.6813 0.0839 0.0000
0.6813 0.6813 0.5974
0.0989 0.0989 0.7359
0.0989 0.3629 0.0000
0.2533 0.8706 0.3827
0.2733 0.4817 0.4927
0.2733 0.7806 0.7916
0.3629 0.0989 0.0000
0.3629 0.3629 0.2641
0.4817 0.2733 0.4927
0.4817 0.9890 0.2084
0.4879 0.8706 0.6173
0.5635 0.7247 0.8388
0.7247 0.5635 0.8388
0.7247 0.8859 0.1612
0.7806 0.2733 0.7916
0.7806 0.9890 0.5073
0.8706 0.2533 0.3827
0.8706 0.4879 0.6173
0.8859 0.7247 0.1612
0.9890 0.4817 0.2084
0.9890 0.7806 0.5073
0.0311 0.2433 0.2122
0.0311 0.8189 0.7878
0.1204 0.6204 0.5000
0.2433 0.0311 0.2122
0.3771 0.3771 0.6784
0.3771 0.6987 0.0000
0.6204 0.1204 0.5000
0.6987 0.3771 0.0000
0.6987 0.6987 0.3216
0.8189 0.0311 0.7878
```


# 3
Ca3B2N4: calculated X-ray diffraction stick pattern (a wavelength of 1.5418 Å), based on a cell relaxed with GGA-PBE.
Kinematic intensities with the Lorentz-polarization factor, no thermal factor.

Most intense lines, 5° ≤ 2θ ≤ 70°, most intense first:
| d/Å | I_rel |
| --- | --- |
| 2.600 | 100.0 |
| 2.574 | 28.5 |
| 1.836 | 27.4 |
| 2.619 | 24.1 |
| 5.199 | 20.6 |
| 2.325 | 19.9 |
| 5.239 | 15.2 |
| 5.758 | 13.9 |
| 1.509 | 12.5 |
| 1.491 | 12.3 |

```
Ca3B2N4
1.0
5.1473 -3.6815 0.0000
5.1473 3.6815 0.0000
0.0000 0.0000 20.9554
Ca B N
18 12 24
Direct
0.0000 0.0000 0.0000
0.0287 0.9713 0.7537
0.2268 0.2649 0.3780
0.2351 0.2732 0.1220
0.2404 0.7596 0.1208
0.2596 0.7404 0.6208
0.2649 0.2268 0.6220
0.2732 0.2351 0.8780
0.4713 0.5287 0.2537
0.5000 0.5000 0.5000
0.5287 0.4713 0.7463
0.7268 0.7649 0.1220
0.7351 0.7732 0.3780
0.7404 0.2596 0.3792
0.7596 0.2404 0.8792
0.7649 0.7268 0.8780
0.7732 0.7351 0.6220
0.9713 0.0287 0.2463
0.0000 0.5000 0.0000
0.0000 0.5000 0.5000
0.0310 0.4690 0.7500
0.2325 0.7675 0.3715
0.2675 0.7325 0.8715
0.4690 0.0310 0.2500
0.5000 0.0000 0.0000
0.5000 0.0000 0.5000
0.5310 0.9690 0.7500
0.7325 0.2675 0.1285
0.7675 0.2325 0.6285
0.9690 0.5310 0.2500
0.0321 0.6114 0.0515
0.0541 0.9459 0.3592
0.0615 0.6236 0.2049
0.0859 0.9141 0.8797
0.1114 0.5321 0.5515
0.1236 0.5615 0.7049
0.3764 0.9385 0.2049
0.3886 0.9679 0.0515
0.4141 0.5859 0.3797
0.4385 0.8764 0.7049
0.4459 0.5541 0.8592
0.4679 0.8886 0.5515
0.5321 0.1114 0.4485
0.5541 0.4459 0.1408
0.5615 0.1236 0.2951
0.5859 0.4141 0.6203
0.6114 0.0321 0.9485
0.6236 0.0615 0.7951
0.8764 0.4385 0.2951
0.8886 0.4679 0.4485
0.9141 0.0859 0.1203
0.9385 0.3764 0.7951
0.9459 0.0541 0.6408
0.9679 0.3886 0.9485
```